Entry 1:
This entry pairs a crystal structure of LiSn4Au3 with its simulated powder XRD pattern. Radiation: Cu Kα X-rays. Structure: a DFT-relaxed cell (GGA-PBE, the Materials Project).

Atomic structure:
```
LiSn4Au3
1.0
4.592 0.000 0.000
-2.296 3.977 0.000
0.000 0.000 20.949
Li Sn Au
2 8 6
direct
0.333 0.667 0.000
0.667 0.333 0.500
0.000 0.000 0.083
0.000 0.000 0.317
0.000 0.000 0.583
0.000 0.000 0.817
0.333 0.667 0.413
0.333 0.667 0.695
0.667 0.333 0.195
0.667 0.333 0.913
0.000 0.000 0.453
0.000 0.000 0.953
0.333 0.667 0.132
0.333 0.667 0.272
0.667 0.333 0.632
0.667 0.333 0.772
```

Most intense lines, 5 to 70 degrees two-theta, in order of falling intensity:
2θ/deg	I_rel
39.24	100.0
37.62	58.0
23.94	55.4
41.28	48.8
22.76	43.3
47.39	26.9
25.51	23.0
55.48	19.2
58.26	18.0
66.80	16.3

---

Entry 2:
This entry pairs a crystal structure of Li2SnAu with its simulated powder XRD pattern. Radiation: Cu Kα X-rays. Structure: a DFT-relaxed cell (GGA-PBE, the Materials Project).

Atomic structure:
```
Li2SnAu
1.0
0.000 3.274 3.274
3.274 0.000 3.274
3.274 3.274 0.000
Li Sn Au
2 1 1
direct
0.000 0.000 0.000
0.250 0.250 0.250
0.500 0.500 0.500
0.750 0.750 0.750
```

Most intense lines, 5 to 70 degrees two-theta, in order of falling intensity:
2θ/deg	I_rel
23.53	100.0
38.90	89.9
45.96	52.7
61.74	22.2
56.18	15.7
27.24	6.0
63.53	2.2
48.13	1.8